Entry 1:
# SnHg2S2Br2
Calculated PXRD pattern, Cu Kα, 1.54184 Å. Input: a DFT-relaxed cell (GGA-PBE, the Materials Project).
Neutral-atom scattering factors, no anomalous dispersion.

Top 6 peaks for 2θ = 5–70°, sorted by position:
d (Å), intensity
3.600, 825
3.583, 724
3.227, 1000
3.095, 997
2.978, 761
2.688, 684

Structure:
```
SnHg2S2Br2
1.0
9.608 0.000 0.000
0.000 8.241 0.000
-7.137 0.000 10.750
Sn Hg S Br
4 8 8 8
direct
0.143 0.085 0.425
0.143 0.415 0.925
0.857 0.585 0.075
0.857 0.915 0.575
0.245 0.553 0.616
0.245 0.947 0.116
0.413 0.683 0.376
0.413 0.817 0.876
0.587 0.183 0.124
0.587 0.317 0.624
0.755 0.053 0.884
0.755 0.447 0.384
0.153 0.683 0.734
0.153 0.817 0.234
0.305 0.087 0.982
0.305 0.413 0.482
0.695 0.587 0.518
0.695 0.913 0.018
0.847 0.183 0.766
0.847 0.317 0.266
0.097 0.174 0.617
0.097 0.326 0.117
0.432 0.601 0.113
0.432 0.899 0.613
0.568 0.101 0.387
0.568 0.399 0.887
0.903 0.674 0.883
0.903 0.826 0.383
```



Entry 2:
# HfCrCuSe4
Calculated PXRD pattern, Cu Kα, 1.54184 Å. Input: a DFT-relaxed cell (GGA-PBE, the Materials Project).
Neutral-atom scattering factors, no anomalous dispersion.

Top 6 peaks for 2θ = 5–70°, sorted by position:
d (Å), intensity
6.224, 378
3.234, 295
3.221, 477
2.681, 1000
2.072, 217
1.895, 779

Structure:
```
HfCrCuSe4
1.0
-3.765 3.824 5.355
3.765 -3.824 5.355
3.765 3.824 -5.355
Hf Cr Cu Se
2 2 2 8
direct
0.500 0.000 0.000
0.500 0.500 0.500
0.000 0.000 0.000
0.500 0.000 0.500
0.127 0.377 0.750
0.873 0.623 0.250
0.243 0.241 0.002
0.250 0.232 0.481
0.250 0.769 0.019
0.261 0.759 0.502
0.739 0.241 0.498
0.750 0.231 0.981
0.750 0.768 0.519
0.757 0.759 0.998
```